(1)
For Nd3PtO, a crystal structure in Alexandria, relaxed with PBE gives the computed powder X-ray diffraction pattern in this record (CuKα).

Main lines, in order of rising 2θ (10 to 80 degrees two-theta):
d = 3.025 Å, I = 36, (2 0 1); d = 3.001 Å, I = 56, (1 1 1); d = 2.808 Å, I = 24, (1 0 -3); d = 2.795 Å, I = 100, (1 1 -2); d = 2.704 Å, I = 34, (0 0 3); d = 2.686 Å, I = 67, (2 1 -1); d = 2.378 Å, I = 35, (2 1 1); d = 2.119 Å, I = 25, (3 1 -1); d = 1.924 Å, I = 32, (0 2 0); d = 1.649 Å, I = 34, (1 1 4)

a b c (Å): 7.614 3.848 8.459
angles (deg): 90.00 106.44 90.00
Atoms (fractional coordinates):
1 Nd 0.084 0.000 0.335
2 Nd 0.293 0.000 0.031
3 Nd 0.344 0.500 0.687
4 Nd 0.656 0.500 0.313
5 Nd 0.707 0.000 0.969
6 Nd 0.916 0.000 0.665
7 Pt 0.000 0.500 0.000
8 Pt 0.500 0.000 0.500
9 O 0.000 0.500 0.500
10 O 0.500 0.500 0.000



(2)
For PmSm5Tl2, a crystal structure in Alexandria, relaxed with PBE gives the computed powder X-ray diffraction pattern in this record (CuKα).

Main lines, in order of rising 2θ (10 to 80 degrees two-theta):
d = 4.338 Å, I = 6, (1 0 2); d = 3.391 Å, I = 7, (0 0 6); d = 2.769 Å, I = 100, (1 1 0); d = 2.486 Å, I = 7, (1 0 7); d = 2.145 Å, I = 12, (1 1 6); d = 1.958 Å, I = 15, (2 0 6); d = 1.599 Å, I = 27, (3 0 0); d = 1.446 Å, I = 12, (1 1 12); d = 1.385 Å, I = 7, (2 2 0); d = 1.238 Å, I = 7, (3 1 6)

a b c (Å): 5.538 5.538 20.348
angles (deg): 90.00 90.00 120.00
Atoms (fractional coordinates):
1 Pm 0.333 0.667 0.250
2 Pm 0.667 0.333 0.750
3 Sm 0.000 0.000 0.162
4 Sm 0.000 0.000 0.338
5 Sm 0.000 0.000 0.662
6 Sm 0.000 0.000 0.838
7 Sm 0.333 0.667 0.564
8 Sm 0.333 0.667 0.750
9 Sm 0.333 0.667 0.936
10 Sm 0.667 0.333 0.064
11 Sm 0.667 0.333 0.250
12 Sm 0.667 0.333 0.436
13 Tl 0.333 0.667 0.093
14 Tl 0.333 0.667 0.407
15 Tl 0.667 0.333 0.593
16 Tl 0.667 0.333 0.907